Entry 1:
For Dy2AgHPd6, a DFT-relaxed cell (PBE, Alexandria) gives the theoretical XRD peak list in this record (a wavelength of 1.5418 Å).
Intensities are scaled so that the largest is 100.

Top 10 peaks for 10° ≤ 2θ ≤ 80°, sorted by position:
- 28.2 deg, 3.164 Å, I 28.4, hkl 0 0 2
- 34.3 deg, 2.616 Å, I 49.8, hkl 1 -1 1
- 37.6 deg, 2.393 Å, I 90.9, hkl 2 0 0
- 37.9 deg, 2.374 Å, I 61.5, hkl 2 2 1
- 38.8 deg, 2.321 Å, I 58.4, hkl 1 1 3
- 39.3 deg, 2.291 Å, I 23.0, hkl 2 2 2
- 41.7 deg, 2.168 Å, I 100.0, hkl 0 2 2
- 41.9 deg, 2.155 Å, I 42.9, hkl 1 1 -2
- 43.5 deg, 2.083 Å, I 38.3, hkl 2 0 -1
- 53.0 deg, 1.727 Å, I 24.5, hkl 1 3 0

Atomic structure:
Cell: 5.562 5.569 6.981 Å, 68.76 68.82 62.17°
Space group P-1 (No. 2)
Unique sites:
Dy (0.241, 0.242, 0.194) [2 per cell]
Ag (0.000, 0.000, 0.000) [1 per cell]
H (0.500, 0.500, 0.500) [1 per cell]
Pd (0.170, 0.679, 0.364) [2 per cell]
Pd (0.299, 0.298, 0.738) [2 per cell]
Pd (0.319, 0.832, 0.636) [2 per cell]

***

Entry 2:
For HoAgRhAu, a DFT-relaxed cell (PBE, Alexandria) gives the theoretical XRD peak list in this record (a wavelength of 1.5418 Å).
Intensities are scaled so that the largest is 100.

Top 10 peaks for 10° ≤ 2θ ≤ 80°, sorted by position:
- 37.2 deg, 2.415 Å, I 100.0, hkl 1 1 1
- 40.5 deg, 2.227 Å, I 19.8, hkl 0 0 2
- 44.2 deg, 2.051 Å, I 15.4, hkl 0 2 0
- 45.0 deg, 2.014 Å, I 14.6, hkl 2 0 0
- 61.5 deg, 1.508 Å, I 11.5, hkl 0 2 2
- 62.1 deg, 1.494 Å, I 11.1, hkl 2 0 2
- 71.5 deg, 1.319 Å, I 14.6, hkl 1 1 3
- 76.7 deg, 1.243 Å, I 12.1, hkl 1 3 1
- 77.9 deg, 1.227 Å, I 11.6, hkl 3 1 1
- 79.4 deg, 1.207 Å, I 11.1, hkl 2 2 2

Atomic structure:
Cell: 4.028 4.101 4.453 Å, 90.00 90.00 90.00°
Space group Pmmm (No. 47)
Unique sites:
Ho (0.000, 0.000, 0.000) [1 per cell]
Ag (0.000, 0.500, 0.500) [1 per cell]
Rh (0.500, 0.500, 0.000) [1 per cell]
Au (0.500, 0.000, 0.500) [1 per cell]